No. 1
The following is a theoretical X-ray powder pattern of Mn3Tl5Cl12. It was derived from DFT lattice parameters and positions (GGA-PBE), using Cu Kα X-rays.

Cell and atoms:
```
data_Mn3Tl5Cl12
_cell_length_a 12.9619
_cell_length_b 12.9619
_cell_length_c 3.9158
_cell_angle_alpha 90.00
_cell_angle_beta 90.00
_cell_angle_gamma 120.00
_space_group_name_H-M_alt 'P -6 2 m'
_space_group_IT_number 189
_space_group_name_Hall 'P -6 -2'
loop_
_atom_site_label
_atom_site_fract_x
_atom_site_fract_y
_atom_site_fract_z
Mn1 0.0000 0.6641 0.0000
Tl1 0.0000 0.2793 0.5000
Tl2 0.3333 0.6667 0.5000
Cl1 0.0000 0.5342 0.5000
Cl2 0.0000 0.7964 0.5000
Cl3 0.2131 0.7753 0.0000
```

Peak list (10 most intense, 10 to 80 degrees two-theta, low angle first)
- 15.79°, rel. 53
- 20.94°, rel. 53
- 22.71°, rel. 37
- 23.78°, rel. 100
- 26.60°, rel. 73
- 31.08°, rel. 100
- 33.11°, rel. 64
- 34.84°, rel. 44
- 41.99°, rel. 38
- 43.58°, rel. 45

---

No. 2
The following is a theoretical X-ray powder pattern of V2Fe2Co. It was derived from DFT lattice parameters and positions (GGA-PBE), using Cu Kα X-rays.

Cell and atoms:
```
data_V2Fe2Co
_cell_length_a 2.8973
_cell_length_b 20.1198
_cell_length_c 4.0373
_cell_angle_alpha 90.00
_cell_angle_beta 90.00
_cell_angle_gamma 90.00
_space_group_name_H-M_alt 'C m c m'
_space_group_IT_number 63
_space_group_name_Hall '-C 2c 2'
loop_
_atom_site_label
_atom_site_fract_x
_atom_site_fract_y
_atom_site_fract_z
V1 0.0000 0.0489 0.2500
V2 0.0000 0.1555 0.7500
Fe1 0.0000 0.2521 0.2500
Fe2 0.0000 0.4480 0.2500
Co1 0.0000 0.3533 0.7500
```

Peak list (9 most intense, 10 to 80 degrees two-theta, low angle first)
- 31.19°, rel. 1
- 34.78°, rel. 1
- 44.60°, rel. 100
- 44.90°, rel. 25
- 45.06°, rel. 24
- 59.79°, rel. 1
- 64.30°, rel. 8
- 65.50°, rel. 14
- 77.79°, rel. 1

---

No. 3
The following is a theoretical X-ray powder pattern of Ce4NiPt3. It was derived from DFT lattice parameters and positions (GGA-PBE), using Cu Kα X-rays.

Cell and atoms:
```
data_Ce4NiPt3
_cell_length_a 3.8225
_cell_length_b 4.3786
_cell_length_c 10.9691
_cell_angle_alpha 90.00
_cell_angle_beta 90.00
_cell_angle_gamma 90.00
_space_group_name_H-M_alt 'P m m 2'
_space_group_IT_number 25
_space_group_name_Hall 'P 2 -2'
loop_
_atom_site_label
_atom_site_fract_x
_atom_site_fract_y
_atom_site_fract_z
Ce1 0.0000 0.0000 0.0000
Ce2 0.0000 0.5000 0.2661
Ce3 0.5000 0.0000 0.4876
Ce4 0.5000 0.5000 0.7686
Ni1 0.5000 0.0000 0.2206
Pt1 0.0000 0.0000 0.7274
Pt2 0.0000 0.5000 0.5352
Pt3 0.5000 0.5000 0.0460
```

Peak list (10 most intense, 10 to 80 degrees two-theta, low angle first)
- 32.14°, rel. 100
- 32.65°, rel. 37
- 38.75°, rel. 20
- 39.85°, rel. 79
- 41.23°, rel. 30
- 47.58°, rel. 20
- 53.56°, rel. 18
- 58.90°, rel. 14
- 64.75°, rel. 16
- 74.42°, rel. 14

---

No. 4
The following is a theoretical X-ray powder pattern of Th4Hg5Pb. It was derived from DFT lattice parameters and positions (GGA-PBE), using Cu Kα X-rays.

Cell and atoms:
```
data_Th4Hg5Pb
_cell_length_a 10.3523
_cell_length_b 11.7679
_cell_length_c 4.7097
_cell_angle_alpha 90.00
_cell_angle_beta 90.00
_cell_angle_gamma 90.00
_space_group_name_H-M_alt 'P m m n'
_space_group_IT_number 59
loop_
_space_group_symop_operation_xyz
'x,y,z'
'-x,-y,-z'
'-x+1/2,-y+1/2,z'
'x+1/2,y+1/2,-z'
'x+1/2,-y,-z'
'-x+1/2,y,z'
'-x,y+1/2,-z'
'x,-y+1/2,z'
loop_
_atom_site_label
_atom_site_fract_x
_atom_site_fract_y
_atom_site_fract_z
Th1 0.0352 0.2500 0.2490
Th2 0.2500 0.5206 0.7430
Hg1 0.0437 0.5685 0.2500
Hg2 0.2500 0.7500 0.1183
Pb1 0.2500 0.2500 0.7499
```

Peak list (10 most intense, 10 to 80 degrees two-theta, low angle first)
- 24.26°, rel. 13
- 29.64°, rel. 15
- 30.38°, rel. 17
- 32.16°, rel. 46
- 34.43°, rel. 100
- 34.65°, rel. 31
- 38.22°, rel. 27
- 49.77°, rel. 19
- 52.54°, rel. 13
- 64.44°, rel. 25

---

No. 5
The following is a theoretical X-ray powder pattern of Sc7Bi2PN2. It was derived from DFT lattice parameters and positions (GGA-PBE), using Cu Kα X-rays.

Cell and atoms:
```
data_Sc7Bi2PN2
_cell_length_a 4.3975
_cell_length_b 4.3975
_cell_length_c 23.5341
_cell_angle_alpha 90.00
_cell_angle_beta 90.00
_cell_angle_gamma 90.00
_space_group_name_H-M_alt 'I 4/m m m'
_space_group_IT_number 139
_space_group_name_Hall '-I 4 2'
loop_
_atom_site_label
_atom_site_fract_x
_atom_site_fract_y
_atom_site_fract_z
Sc1 0.0000 0.0000 0.0000
Sc2 0.0000 0.0000 0.1853
Sc3 0.0000 0.5000 0.0836
Bi1 0.0000 0.0000 0.3166
P1 0.0000 0.0000 0.5000
N1 0.0000 0.0000 0.0929
```

Peak list (10 most intense, 10 to 80 degrees two-theta, low angle first)
- 23.19°, rel. 79
- 27.76°, rel. 44
- 28.71°, rel. 44
- 29.72°, rel. 52
- 30.38°, rel. 27
- 36.89°, rel. 100
- 41.05°, rel. 57
- 47.67°, rel. 26
- 51.92°, rel. 24
- 72.06°, rel. 27

---

No. 6
The following is a theoretical X-ray powder pattern of La6NdSm2. It was derived from DFT lattice parameters and positions (GGA-PBE), using Cu Kα X-rays.

Cell and atoms:
```
data_La6NdSm2
_cell_length_a 6.6106
_cell_length_b 6.6106
_cell_length_c 9.4800
_cell_angle_alpha 90.00
_cell_angle_beta 90.00
_cell_angle_gamma 120.00
_space_group_name_H-M_alt 'P -3 1 m'
_space_group_IT_number 162
_space_group_name_Hall '-P 3 2'
loop_
_atom_site_label
_atom_site_fract_x
_atom_site_fract_y
_atom_site_fract_z
La1 0.0000 0.3605 0.2022
Nd1 0.0000 0.0000 0.0000
Sm1 0.3333 0.6667 0.5000
```

Peak list (10 most intense, 10 to 80 degrees two-theta, low angle first)
- 18.10°, rel. 44
- 28.24°, rel. 21
- 28.60°, rel. 99
- 32.36°, rel. 18
- 32.68°, rel. 16
- 33.04°, rel. 100
- 39.45°, rel. 17
- 47.19°, rel. 25
- 47.65°, rel. 34
- 59.21°, rel. 17

---

No. 7
The following is a theoretical X-ray powder pattern of Sc6Cd2Rh. It was derived from DFT lattice parameters and positions (GGA-PBE), using Cu Kα X-rays.

Cell and atoms:
```
data_Sc6Cd2Rh
_cell_length_a 3.4736
_cell_length_b 14.1691
_cell_length_c 8.1905
_cell_angle_alpha 90.00
_cell_angle_beta 90.00
_cell_angle_gamma 90.00
_space_group_name_H-M_alt 'A m m 2'
_space_group_IT_number 38
_space_group_name_Hall 'A 2 -2'
loop_
_atom_site_label
_atom_site_fract_x
_atom_site_fract_y
_atom_site_fract_z
Sc1 0.0000 0.0000 0.0000
Sc2 0.0000 0.1240 0.6269
Sc3 0.5000 0.0000 0.3624
Sc4 0.5000 0.1943 0.9453
Cd1 0.0000 0.1667 0.2511
Rh1 0.5000 0.0000 0.7520
```

Peak list (10 most intense, 10 to 80 degrees two-theta, low angle first)
- 21.71°, rel. 92
- 28.62°, rel. 40
- 33.44°, rel. 29
- 33.85°, rel. 64
- 36.21°, rel. 100
- 38.08°, rel. 89
- 42.62°, rel. 83
- 59.78°, rel. 26
- 63.12°, rel. 41
- 66.85°, rel. 31

---

No. 8
The following is a theoretical X-ray powder pattern of Sm3Zn4Au4. It was derived from DFT lattice parameters and positions (GGA-PBE), using Cu Kα X-rays.

Cell and atoms:
```
data_Sm3Zn4Au4
_cell_length_a 3.7657
_cell_length_b 4.4426
_cell_length_c 14.3326
_cell_angle_alpha 98.61
_cell_angle_beta 97.46
_cell_angle_gamma 90.23
_space_group_name_H-M_alt 'P -1'
_space_group_IT_number 2
_space_group_name_Hall '-P 1'
loop_
_atom_site_label
_atom_site_fract_x
_atom_site_fract_y
_atom_site_fract_z
Sm1 0.0000 0.0000 0.0000
Sm2 0.1456 0.6445 0.2903
Zn1 0.2559 0.2594 0.5125
Zn2 0.4030 0.9049 0.8077
Au1 0.3107 0.8138 0.6222
Au2 0.4507 0.4498 0.8996
```

Peak list (10 most intense, 10 to 80 degrees two-theta, low angle first)
- 31.73°, rel. 38
- 31.86°, rel. 40
- 32.61°, rel. 82
- 33.65°, rel. 48
- 33.77°, rel. 47
- 40.63°, rel. 100
- 40.84°, rel. 41
- 48.34°, rel. 35
- 48.57°, rel. 26
- 64.96°, rel. 37

---

No. 9
The following is a theoretical X-ray powder pattern of Ga2Te2I. It was derived from DFT lattice parameters and positions (GGA-PBE), using Cu Kα X-rays.

Cell and atoms:
```
data_Ga2Te2I
_cell_length_a 8.4336
_cell_length_b 8.4336
_cell_length_c 11.4353
_cell_angle_alpha 90.00
_cell_angle_beta 90.00
_cell_angle_gamma 90.00
_space_group_name_H-M_alt 'I 41 m d'
_space_group_IT_number 109
_space_group_name_Hall 'I 4bw -2'
loop_
_atom_site_label
_atom_site_fract_x
_atom_site_fract_y
_atom_site_fract_z
Ga1 0.0000 0.3012 0.0000
Te1 0.0000 0.2554 0.7668
I1 0.0000 0.0000 0.0990
```

Peak list (10 most intense, 10 to 80 degrees two-theta, low angle first)
- 13.04°, rel. 74
- 21.07°, rel. 19
- 21.53°, rel. 27
- 24.86°, rel. 100
- 25.65°, rel. 63
- 29.97°, rel. 23
- 31.29°, rel. 19
- 39.32°, rel. 58
- 42.89°, rel. 32
- 43.87°, rel. 55

---

No. 10
The following is a theoretical X-ray powder pattern of La7Nd4Sm. It was derived from DFT lattice parameters and positions (GGA-PBE), using Cu Kα X-rays.

Cell and atoms:
```
data_La7Nd4Sm
_cell_length_a 6.4823
_cell_length_b 7.4809
_cell_length_c 9.2352
_cell_angle_alpha 90.09
_cell_angle_beta 103.56
_cell_angle_gamma 90.01
_space_group_name_H-M_alt 'P -1'
_space_group_IT_number 2
_space_group_name_Hall '-P 1'
loop_
_atom_site_label
_atom_site_fract_x
_atom_site_fract_y
_atom_site_fract_z
La1 0.0000 0.0000 0.0000
La2 0.2222 0.4985 0.6683
La3 0.2785 0.7506 0.3320
La4 0.5003 0.2511 0.0007
Nd1 0.2240 0.9998 0.6686
Nd2 0.2750 0.2499 0.3295
Sm1 0.0000 0.5000 0.0000
```

Peak list (10 most intense, 10 to 80 degrees two-theta, low angle first)
- 27.73°, rel. 35
- 29.86°, rel. 49
- 30.62°, rel. 100
- 32.24°, rel. 84
- 38.56°, rel. 17
- 48.67°, rel. 38
- 52.42°, rel. 23
- 55.56°, rel. 17
- 58.15°, rel. 44
- 58.60°, rel. 16